# DyGa2PdPt2
Computed PXRD pattern, Cu Kα (weighted mean of Kα1 and Kα2). Input: a GGA-PBE-relaxed structure.
Kinematic intensities with the Lorentz-polarization factor, no thermal factor.

Cell and atoms:
a b c (Å): 4.3737 4.3737 6.4247
angles (deg): 90.00 90.00 120.00
Space group P-3m1 (No. 164)
Inequivalent atoms, fractional coordinates:
Dy (0.0000, 0.0000, 0.0000) (multiplicity 1)
Ga (0.3333, 0.6667, 0.3112) (multiplicity 2)
Pd (0.0000, 0.0000, 0.5000) (multiplicity 1)
Pt (0.3333, 0.6667, 0.7272) (multiplicity 2)

Main lines, by angle (10 to 80 degrees two-theta):
d/Å, Position (°2θ), I_rel, h k l
3.263, 27.33, 46, 1 0 1
2.450, 36.68, 100, 0 1 2
2.187, 41.28, 90, 1 1 0
1.864, 48.85, 13, 1 0 3
1.817, 50.22, 9, 0 2 1
1.631, 56.40, 29, 2 0 2
1.530, 60.51, 11, 1 1 3
1.308, 72.25, 27, 1 2 2
1.295, 73.10, 19, 1 1 4
1.263, 75.27, 15, 3 0 0

***

# U2Se4I
Computed PXRD pattern, Cu Kα (weighted mean of Kα1 and Kα2). Input: a GGA-PBE-relaxed structure.
Kinematic intensities with the Lorentz-polarization factor, no thermal factor.

Cell and atoms:
a b c (Å): 16.380 7.062 8.231
angles (deg): 90.00 120.11 90.00
Space group C2 (No. 5)
Inequivalent atoms, fractional coordinates:
U (0.000, 0.000, 0.000) (multiplicity 2)
U (0.000, 0.003, 0.500) (multiplicity 2)
U (0.199, 0.589, 0.949) (multiplicity 4)
Se (0.003, 0.723, 0.753) (multiplicity 4)
Se (0.106, 0.232, 0.856) (multiplicity 4)
Se (0.198, 0.872, 0.717) (multiplicity 4)
Se (0.198, 0.874, 0.179) (multiplicity 4)
I (0.122, 0.236, 0.372) (multiplicity 4)

Main lines, by angle (10 to 80 degrees two-theta):
d/Å, Position (°2θ), I_rel, h k l
7.117, 12.44, 78, 0 0 1
6.320, 14.01, 66, 1 1 0
4.274, 20.78, 38, 1 1 1
3.926, 22.65, 37, 3 1 0
3.449, 25.83, 83, 3 1 -2
2.681, 33.42, 90, 2 2 -2
2.630, 34.09, 47, 5 1 0
2.505, 35.85, 100, 0 2 2
2.216, 40.71, 90, 3 1 2
2.058, 44.01, 36, 4 0 -4

***

# CoHgCl14
Computed PXRD pattern, Cu Kα (weighted mean of Kα1 and Kα2). Input: a GGA-PBE-relaxed structure.
Kinematic intensities with the Lorentz-polarization factor, no thermal factor.

Cell and atoms:
a b c (Å): 15.343 11.570 7.833
angles (deg): 90.00 91.21 90.00
Space group C2 (No. 5)
Inequivalent atoms, fractional coordinates:
Co (0.000, 0.000, 0.000) (multiplicity 2)
Hg (0.000, 0.459, 0.000) (multiplicity 2)
Cl (0.000, 0.112, 0.500) (multiplicity 2)
Cl (0.000, 0.646, 0.500) (multiplicity 2)
Cl (0.007, 0.138, 0.205) (multiplicity 4)
Cl (0.056, 0.650, 0.238) (multiplicity 4)
Cl (0.118, 0.909, 0.988) (multiplicity 4)
Cl (0.146, 0.437, 0.927) (multiplicity 4)
Cl (0.164, 0.412, 0.574) (multiplicity 4)
Cl (0.179, 0.402, 0.319) (multiplicity 4)

Main lines, by angle (10 to 80 degrees two-theta):
d/Å, Position (°2θ), I_rel, h k l
7.831, 11.30, 47, 0 0 1
7.670, 11.54, 100, 2 0 0
5.785, 15.32, 52, 0 2 0
5.538, 16.00, 29, 2 0 -1
4.654, 19.07, 50, 0 2 1
4.618, 19.22, 29, 2 2 0
3.956, 22.47, 44, 2 2 1
3.243, 27.51, 33, 0 2 2
2.970, 30.09, 26, 2 2 2
2.555, 35.13, 23, 6 0 0

***

# Tl6P7
Computed PXRD pattern, Cu Kα (weighted mean of Kα1 and Kα2). Input: a GGA-PBE-relaxed structure.
Kinematic intensities with the Lorentz-polarization factor, no thermal factor.

Cell and atoms:
a b c (Å): 6.0384 6.0384 31.8220
angles (deg): 90.00 90.00 120.00
Space group R-3m (No. 166, hexagonal axes)
Inequivalent atoms, fractional coordinates:
Tl (0.0000, 0.0000, 0.0522) (multiplicity 6)
Tl (0.0000, 0.0000, 0.1611) (multiplicity 6)
Tl (0.0000, 0.0000, 0.3203) (multiplicity 6)
P (0.0000, 0.0000, 0.5000) (multiplicity 3)
P (0.0881, 0.5440, 0.0962) (multiplicity 18)

Main lines, by angle (10 to 80 degrees two-theta):
d/Å, Position (°2θ), I_rel, h k l
5.304, 16.72, 17, 0 0 6
5.160, 17.18, 20, 1 0 1
3.166, 28.19, 57, 0 1 8
3.019, 29.59, 100, 1 1 0
2.718, 32.95, 19, 1 0 10
2.624, 34.17, 38, 1 1 6
2.531, 35.46, 25, 0 1 11
2.296, 39.24, 18, 1 1 9
1.770, 51.65, 17, 0 0 18
1.743, 52.50, 19, 3 0 0